The following is a theoretical X-ray diffraction stick pattern of Ac2HoSi3Pt12. It was derived from a GGA-PBE-relaxed structure, using Cu Kα (λ = 1.5418 Å).
Peak positions follow from Bragg's law for the DFT cell and can differ from measured ones.

Crystal structure
a = 8.3777 Å, b = 8.3777 Å, c = 18.7203 Å
α = 90.00°, β = 90.00°, γ = 120.00°
Space group R-3m (No. 166, hexagonal axes)
Inequivalent atoms, fractional coordinates:
Ac (0.0000, 0.0000, 0.1041)
Ho (0.0000, 0.0000, 0.5000)
Si (0.0000, 0.5000, 0.0000)
Pt (0.0219, 0.5109, 0.8742)
Pt (0.0377, 0.5189, 0.3642)

Top 12 peaks for 2θ from 10° to 80°, in order of falling intensity:
d 2.867, rel. 100, hkl 0 2 4
d 2.094, rel. 59, hkl 2 2 0
d 1.966, rel. 41, hkl 2 0 8
d 2.632, rel. 21, hkl 1 2 2
d 1.434, rel. 19, hkl 0 4 8
d 1.691, rel. 17, hkl 4 0 4
d 1.316, rel. 13, hkl 2 4 4
d 3.327, rel. 11, hkl 0 1 5
d 2.605, rel. 10, hkl 2 0 5
d 1.912, rel. 9, hkl 3 0 6
d 1.244, rel. 9, hkl 3 2 10
d 3.933, rel. 9, hkl 1 0 4

The following is a theoretical X-ray diffraction stick pattern of AcHoPu. It was derived from a GGA-PBE-relaxed structure, using Cu Kα (λ = 1.5418 Å).
Peak positions follow from Bragg's law for the DFT cell and can differ from measured ones.

Crystal structure
a = 3.697 Å, b = 3.697 Å, c = 15.041 Å
α = 90.00°, β = 90.00°, γ = 90.00°
Space group I4mm (No. 107)
Inequivalent atoms, fractional coordinates:
Ac (0.000, 0.000, 0.000)
Ho (0.000, 0.000, 0.676)
Pu (0.000, 0.000, 0.328)

Top 12 peaks for 2θ from 10° to 80°, in order of falling intensity:
d 2.975, rel. 100, hkl 1 0 3
d 2.614, rel. 36, hkl 1 1 0
d 1.570, rel. 31, hkl 2 1 3
d 1.809, rel. 23, hkl 1 1 6
d 2.507, rel. 15, hkl 0 0 6
d 1.848, rel. 13, hkl 2 0 0
d 1.523, rel. 13, hkl 1 0 9
d 1.488, rel. 12, hkl 2 0 6
d 1.307, rel. 4, hkl 2 2 0
d 7.520, rel. 2, hkl 0 0 2
d 3.590, rel. 2, hkl 1 0 1
d 1.858, rel. 2, hkl 1 0 7

The following is a theoretical X-ray diffraction stick pattern of Ac12HoRu7. It was derived from a GGA-PBE-relaxed structure, using Cu Kα (λ = 1.5418 Å).
Peak positions follow from Bragg's law for the DFT cell and can differ from measured ones.

Crystal structure
a = 15.0970 Å, b = 15.0970 Å, c = 10.2662 Å
α = 90.00°, β = 90.00°, γ = 120.00°
Space group R-3 (No. 148, hexagonal axes)
Inequivalent atoms, fractional coordinates:
Ac (0.0221, 0.5843, 0.1586)
Ac (0.0482, 0.1711, 0.8247)
Ho (0.0000, 0.0000, 0.5000)
Ru (0.0000, 0.0000, 0.0000)
Ru (0.0392, 0.1848, 0.3415)

Top 12 peaks for 2θ from 10° to 80°, in order of falling intensity:
d 2.962, rel. 100, hkl 3 1 2
d 2.094, rel. 74, hkl 4 -3 4
d 3.420, rel. 68, hkl 4 -3 1
d 1.786, rel. 35, hkl 6 2 1
d 1.325, rel. 31, hkl 2 5 6
d 1.710, rel. 26, hkl 0 0 6
d 1.209, rel. 23, hkl 3 1 8
d 1.359, rel. 15, hkl 1 9 1
d 1.481, rel. 12, hkl 6 2 4
d 5.514, rel. 6, hkl 0 2 1
d 7.549, rel. 4, hkl 1 1 0
d 4.453, rel. 4, hkl 3 -1 1

The following is a theoretical X-ray diffraction stick pattern of Ac2HoScS6. It was derived from a GGA-PBE-relaxed structure, using Cu Kα (λ = 1.5418 Å).
Peak positions follow from Bragg's law for the DFT cell and can differ from measured ones.

Crystal structure
a = 6.831 Å, b = 7.412 Å, c = 12.026 Å
α = 90.00°, β = 124.20°, γ = 90.00°
Space group P2_1/c (No. 14)
Inequivalent atoms, fractional coordinates:
Ac (0.220, 0.087, 0.249)
Ho (0.500, 0.000, 0.000)
Sc (0.000, 0.000, 0.500)
S (0.122, 0.197, 0.942)
S (0.252, 0.687, 0.944)
S (0.357, 0.032, 0.743)

Top 12 peaks for 2θ from 10° to 80°, in order of falling intensity:
d 3.525, rel. 100, hkl 1 1 -3
d 3.543, rel. 100, hkl 1 1 1
d 4.484, rel. 64, hkl 1 1 -2
d 2.262, rel. 51, hkl 1 3 -2
d 3.415, rel. 50, hkl 2 0 -2
d 2.435, rel. 42, hkl 2 2 -3
d 2.487, rel. 40, hkl 0 0 4
d 3.473, rel. 40, hkl 0 2 1
d 2.968, rel. 37, hkl 2 1 -1
d 2.512, rel. 35, hkl 2 2 -2
d 1.999, rel. 29, hkl 3 1 -1
d 3.706, rel. 29, hkl 0 2 0